Simulated powder diffractogram
Compound: Ba3SrCa2W2O12
Radiation: CuKα
Structure: the PBE+U geometry in Alexandria

Main lines, by intensity (2θ from 5° to 70°):
- 2θ = 29.85°, I = 100.0, (2 1 1)
- 2θ = 29.70°, I = 65.9, (1 2 1)
- 2θ = 42.60°, I = 39.5, (0 2 -2)
- 2θ = 18.16°, I = 38.8, (1 1 0)
- 2θ = 29.95°, I = 33.4, (1 0 3)
- 2θ = 52.90°, I = 21.2, (3 0 1)
- 2θ = 53.00°, I = 20.6, (3 3 2)
- 2θ = 53.14°, I = 20.0, (1 1 6)
- 2θ = 42.81°, I = 18.7, (2 2 4)
- 2θ = 35.10°, I = 16.1, (1 2 3)
- 2θ = 18.03°, I = 15.6, (0 1 1)
- 2θ = 52.61°, I = 13.8, (0 3 1)

abc: 5.980 6.009 10.340
angles: 73.16 73.45 60.31
Fractional positions:
Ba  0.000  0.000  0.000
Ba  0.247  0.255  0.250
Ba  0.504  0.497  0.500
Sr  0.736  0.763  0.754
Ca  0.373  0.378  0.873
Ca  0.875  0.876  0.378
W  0.124  0.126  0.628
W  0.625  0.626  0.123
O  0.072  0.955  0.512
O  0.153  0.320  0.741
O  0.270  0.728  0.228
O  0.278  0.798  0.756
O  0.485  0.035  0.530
O  0.501  0.953  0.991
O  0.558  0.462  0.010
O  0.692  0.791  0.237
O  0.752  0.295  0.252
O  0.772  0.192  0.730
O  0.982  0.527  0.021
O  0.993  0.453  0.497